Entry 1:
Diffraction record for Pm2InPt5Rh2. The X-ray powder pattern is theoretical, not measured: it uses a cell relaxed with GGA-PBE and λ = 1.5418 Å (Cu Kα).
Kinematic intensities with the Lorentz-polarization factor, no thermal factor.

Cell and atoms:
abc: 9.4571 9.4571 4.1949
angles: 90.00 90.00 90.00
Atoms (fractional coordinates):
Pm: 0.1700 0.3300 0.0000
Pm: 0.3300 0.8300 0.0000
Pm: 0.6700 0.1700 0.0000
Pm: 0.8300 0.6700 0.0000
In: 0.0000 0.0000 0.0000
In: 0.5000 0.5000 0.0000
Pt: 0.0000 0.5000 0.5000
Pt: 0.0652 0.7951 0.5000
Pt: 0.2049 0.0652 0.5000
Pt: 0.2951 0.5652 0.5000
Pt: 0.4348 0.2951 0.5000
Pt: 0.5000 0.0000 0.5000
Pt: 0.5652 0.7049 0.5000
Pt: 0.7049 0.4348 0.5000
Pt: 0.7951 0.9348 0.5000
Pt: 0.9348 0.2049 0.5000
Rh: 0.1273 0.6273 0.0000
Rh: 0.3727 0.1273 0.0000
Rh: 0.6273 0.8727 0.0000
Rh: 0.8727 0.3727 0.0000

Peak list (8 most intense, 2θ = 5–70°, by angle)
2θ/deg, Rel. int.
30.00, 18
34.30, 20
36.91, 100
39.28, 36
40.54, 50
43.13, 33
43.96, 15
59.74, 22

Entry 2:
Diffraction record for La6DyTh2. The X-ray powder pattern is theoretical, not measured: it uses a cell relaxed with GGA-PBE and λ = 1.5418 Å (Cu Kα).
Kinematic intensities with the Lorentz-polarization factor, no thermal factor.

Cell and atoms:
abc: 3.6441 3.6441 27.5547
angles: 90.00 90.00 120.00
Atoms (fractional coordinates):
La: 0.0000 0.0000 0.0632
La: 0.0000 0.0000 0.2773
La: 0.0000 0.0000 0.7227
La: 0.0000 0.0000 0.9368
La: 0.3333 0.6667 0.3941
La: 0.3333 0.6667 0.6059
Dy: 0.0000 0.0000 0.5000
Th: 0.3333 0.6667 0.1699
Th: 0.3333 0.6667 0.8301

Peak list (8 most intense, 2θ = 5–70°, by angle)
2θ/deg, Rel. int.
28.28, 49
29.17, 56
31.17, 71
32.70, 100
41.08, 34
50.06, 41
54.98, 31
58.99, 48

Entry 3:
Diffraction record for NiPd3W. The X-ray powder pattern is theoretical, not measured: it uses a cell relaxed with GGA-PBE and λ = 1.5418 Å (Cu Kα).
Kinematic intensities with the Lorentz-polarization factor, no thermal factor.

Cell and atoms:
abc: 4.7724 4.7724 4.7724
angles: 90.00 90.00 90.00
Atoms (fractional coordinates):
Ni: 0.0000 0.0000 0.0000
Pd: 0.0000 0.5000 0.5000
Pd: 0.5000 0.0000 0.5000
Pd: 0.5000 0.5000 0.0000
W: 0.5000 0.5000 0.5000

Peak list (8 most intense, 2θ = 5–70°, by angle)
2θ/deg, Rel. int.
18.59, 91
26.41, 29
32.50, 27
37.70, 100
42.35, 45
54.37, 68
57.97, 23
68.05, 23

Entry 4:
Diffraction record for BaSrSn2. The X-ray powder pattern is theoretical, not measured: it uses a cell relaxed with GGA-PBE and λ = 1.5418 Å (Cu Kα).
Kinematic intensities with the Lorentz-polarization factor, no thermal factor.

Cell and atoms:
abc: 4.6312 6.6836 9.7211
angles: 90.00 90.00 90.00
Atoms (fractional coordinates):
Ba: 0.0000 0.1338 0.0000
Ba: 0.0000 0.8662 0.5000
Sr: 0.5000 0.3657 0.6308
Sr: 0.5000 0.6343 0.1308
Sn: 0.0000 0.3873 0.3515
Sn: 0.0000 0.6127 0.8515
Sn: 0.5000 0.1261 0.2821
Sn: 0.5000 0.8739 0.7821

Peak list (8 most intense, 2θ = 5–70°, by angle)
2θ/deg, Rel. int.
16.09, 29
25.12, 29
26.59, 65
28.24, 50
29.81, 93
30.66, 52
34.35, 100
38.89, 36

Entry 5:
Diffraction record for KPaAgO4. The X-ray powder pattern is theoretical, not measured: it uses a cell relaxed with GGA-PBE and λ = 1.5418 Å (Cu Kα).
Kinematic intensities with the Lorentz-polarization factor, no thermal factor.

Cell and atoms:
abc: 7.4025 7.4025 7.4025
angles: 127.68 123.58 80.55
Atoms (fractional coordinates):
K: 0.4172 0.1672 0.2500
K: 0.5828 0.8328 0.7500
Pa: 0.0000 0.5000 0.5000
Pa: 0.5000 0.5000 0.0000
Ag: 0.0000 0.0000 0.5000
Ag: 0.0000 0.5000 0.0000
O: 0.1436 0.6943 0.4493
O: 0.2550 0.3057 0.9493
O: 0.2694 0.3203 0.5509
O: 0.2694 0.7185 0.9491
O: 0.7306 0.2815 0.0509
O: 0.7306 0.6797 0.4491
O: 0.7450 0.6943 0.0507
O: 0.8564 0.3057 0.5507

Peak list (8 most intense, 2θ = 5–70°, by angle)
2θ/deg, Rel. int.
15.68, 100
27.34, 36
30.04, 81
31.67, 44
37.69, 36
42.32, 16
50.03, 54
65.23, 21

Entry 6:
Diffraction record for AcPrCo3. The X-ray powder pattern is theoretical, not measured: it uses a cell relaxed with GGA-PBE and λ = 1.5418 Å (Cu Kα).
Kinematic intensities with the Lorentz-polarization factor, no thermal factor.

Cell and atoms:
abc: 12.1390 12.1390 4.0410
angles: 90.00 90.00 159.02
Atoms (fractional coordinates):
Ac: 0.0719 0.9281 0.7500
Ac: 0.9281 0.0719 0.2500
Pr: 0.2067 0.7933 0.2500
Pr: 0.7933 0.2067 0.7500
Co: 0.3325 0.6675 0.2500
Co: 0.3776 0.6224 0.7500
Co: 0.4760 0.5240 0.7500
Co: 0.5240 0.4760 0.2500
Co: 0.6224 0.3776 0.2500
Co: 0.6675 0.3325 0.7500

Peak list (8 most intense, 2θ = 5–70°, by angle)
2θ/deg, Rel. int.
26.64, 32
32.05, 100
33.18, 63
40.84, 26
44.06, 28
44.86, 20
56.92, 27
61.63, 21